This entry pairs a crystal structure of CoPd2O6 with its computed X-ray powder pattern. Radiation: Cu Kα X-rays. Structure: a structure optimized by DFT (PBE+U).
Kinematic intensities with the Lorentz-polarization factor, no thermal factor.

Main lines, low angle first (10° ≤ 2θ ≤ 90°):
d/Å, I_rel
4.797, 100
2.617, 34
2.398, 7
2.298, 67
1.768, 39
1.511, 14
1.441, 17
1.364, 15
1.263, 9
1.149, 9

Crystal structure
a b c (Å): 5.235 5.235 4.797
angles (deg): 90.00 90.00 120.00
Sites, in units of the cell vectors:
Co1 0.000 0.000 0.000
Pd1 0.333 0.667 0.000
Pd2 0.667 0.333 0.000
O1 0.000 0.318 0.800
O2 0.000 0.682 0.200
O3 0.318 0.000 0.800
O4 0.318 0.318 0.200
O5 0.682 0.000 0.200
O6 0.682 0.682 0.800